Diffraction record for Er3NpAg3Te8. The powder XRD pattern is computed, not measured: it uses a cell relaxed with PBE and Cu Kα, 1.54184 Å.
Peak positions follow from Bragg's law for the DFT cell and can differ from measured ones.

Largest 10 diffraction maxima, sorted by position, 15° ≤ 2θ ≤ 90°:
d_spacing, Position (°2θ), I (rel.), (hkl)
3.071, 29.1, 100, 4 0 0
2.188, 41.3, 39, 2 2 2
2.155, 41.9, 37, 6 2 -2
1.782, 51.3, 20, 4 4 0
1.747, 52.4, 6, 8 0 -4
1.536, 60.2, 8, 4 4 -4
1.382, 67.8, 17, 6 2 2
1.366, 68.7, 11, 8 4 -4
1.263, 75.2, 6, 4 0 4
1.257, 75.6, 9, 6 6 -2

Cell and atoms:
Cell lengths 14.850, 8.752, 8.633 Å; angles 90.00, 124.30, 90.00 degrees
Space group C2/m (No. 12)
Inequivalent atoms, fractional coordinates:
1 Er 0.000 0.000 0.000 [2 per cell]
2 Er 0.250 0.250 0.500 [4 per cell]
3 Np 0.000 0.500 0.000 [2 per cell]
4 Ag 0.000 0.500 0.500 [2 per cell]
5 Ag 0.250 0.250 0.000 [4 per cell]
6 Te 0.000 0.248 0.251 [8 per cell]
7 Te 0.248 0.000 0.747 [4 per cell]
8 Te 0.249 0.500 0.750 [4 per cell]